# 1
Structure and calculated X-ray powder pattern of BeTcSe2 (the PBE geometry in Alexandria; Cu Ka).
Neutral-atom scattering factors, no anomalous dispersion.

The 10 most intense peaks (5 to 70 degrees two-theta), by intensity:
| d [Å] | I (rel.) |
| --- | --- |
| 7.635 | 100 |
| 1.959 | 90 |
| 2.847 | 76 |
| 2.170 | 63 |
| 2.392 | 34 |
| 3.817 | 31 |
| 3.069 | 21 |
| 1.534 | 21 |
| 1.886 | 17 |
| 1.351 | 15 |

Cell and atoms:
```
BeTcSe2
1.0
3.0689 0.0000 0.0000
0.0000 3.0689 0.0000
0.0000 0.0000 7.6346
Be Tc Se
1 1 2
Direct
0.0000 0.0000 0.0000
0.5000 0.5000 0.8269
0.0000 0.0000 0.6418
0.5000 0.5000 0.1591
```

=====

# 2
Structure and calculated X-ray powder pattern of BeTc2Se (the PBE geometry in Alexandria; Cu Ka).
Neutral-atom scattering factors, no anomalous dispersion.

The 10 most intense peaks (5 to 70 degrees two-theta), by intensity:
| d [Å] | I (rel.) |
| --- | --- |
| 2.086 | 100 |
| 2.165 | 63 |
| 2.697 | 50 |
| 1.531 | 20 |
| 5.702 | 17 |
| 1.428 | 14 |
| 3.061 | 11 |
| 1.901 | 9 |
| 2.851 | 5 |
| 1.425 | 5 |

Cell and atoms:
```
BeTc2Se
1.0
3.0612 0.0000 0.0000
0.0000 3.0612 0.0000
0.0000 0.0000 5.7017
Be Tc Se
1 2 1
Direct
0.0000 0.0000 0.0000
0.0000 0.0000 0.5237
0.5000 0.5000 0.8258
0.5000 0.5000 0.2673
```